# 1
KSO2: computed powder XRD pattern (λ = 1.5418 Å (Cu Kα)), based on the PBE geometry in the Materials Project.

Peak list (10 most intense, 2θ from 15° to 90°, sorted by position)
2theta, d_spacing, I (rel.), index
24.86, 3.582, 25, 0 0 2
26.08, 3.417, 13, 2 0 1
27.09, 3.291, 100, 2 1 0
27.41, 3.253, 29, 1 0 2
28.88, 3.092, 12, 0 2 0
31.06, 2.879, 47, 1 1 2
40.24, 2.241, 26, 1 2 2
45.63, 1.988, 14, 3 1 2
46.73, 1.944, 14, 4 0 0
52.69, 1.737, 11, 3 2 2

Atomic structure:
```
data_KSO2
_cell_length_a 7.7757
_cell_length_b 6.1836
_cell_length_c 7.1639
_cell_angle_alpha 90.00
_cell_angle_beta 90.00
_cell_angle_gamma 90.00
_space_group_name_H-M_alt 'P n m a'
_space_group_IT_number 62
_space_group_name_Hall '-P 2ac 2n'
loop_
_atom_site_label
_atom_site_fract_x
_atom_site_fract_y
_atom_site_fract_z
K1 0.1323 0.2500 0.1441
S1 0.1155 0.2500 0.6464
O1 0.1154 0.0462 0.7660
```

# 2
Hf3Mg: computed powder XRD pattern (λ = 1.5418 Å (Cu Kα)), based on the PBE geometry in the Materials Project.

Peak list (10 most intense, 2θ from 15° to 90°, sorted by position)
2theta, d_spacing, I (rel.), index
21.89, 4.061, 17, 1 1 1
25.33, 3.517, 9, 2 0 0
36.12, 2.487, 100, 2 2 0
42.63, 2.121, 9, 3 1 1
52.01, 1.758, 18, 4 0 0
57.08, 1.614, 4, 3 3 1
58.71, 1.573, 4, 4 2 0
64.96, 1.436, 37, 4 2 2
76.64, 1.243, 11, 4 4 0
87.77, 1.112, 17, 6 2 0

Atomic structure:
```
data_Hf3Mg
_cell_length_a 7.0333
_cell_length_b 7.0333
_cell_length_c 7.0333
_cell_angle_alpha 90.00
_cell_angle_beta 90.00
_cell_angle_gamma 90.00
_space_group_name_H-M_alt 'F m -3 m'
_space_group_IT_number 225
_space_group_name_Hall '-F 4 2 3'
loop_
_atom_site_label
_atom_site_fract_x
_atom_site_fract_y
_atom_site_fract_z
Hf1 0.0000 0.0000 0.0000
Hf2 0.2500 0.2500 0.2500
Mg1 0.0000 0.0000 0.5000
```

# 3
MnAsRu: computed powder XRD pattern (λ = 1.5418 Å (Cu Kα)), based on the PBE geometry in the Materials Project.

Peak list (10 most intense, 2θ from 15° to 90°, sorted by position)
2theta, d_spacing, I (rel.), index
37.51, 2.397, 100, 1 1 1
41.30, 2.186, 81, 2 0 1
45.08, 2.011, 29, 2 1 0
47.43, 1.917, 31, 0 0 2
51.30, 1.781, 22, 2 1 1
51.52, 1.774, 30, 3 0 0
67.50, 1.388, 16, 2 1 2
68.07, 1.377, 12, 3 1 1
72.62, 1.302, 21, 3 0 2
83.02, 1.163, 22, 3 2 1

Atomic structure:
```
data_MnAsRu
_cell_length_a 6.1446
_cell_length_b 6.1446
_cell_length_c 3.8339
_cell_angle_alpha 90.00
_cell_angle_beta 90.00
_cell_angle_gamma 120.00
_space_group_name_H-M_alt 'P -6 2 m'
_space_group_IT_number 189
_space_group_name_Hall 'P -6 -2'
loop_
_atom_site_label
_atom_site_fract_x
_atom_site_fract_y
_atom_site_fract_z
Mn1 0.0000 0.7502 0.0000
As1 0.0000 0.0000 0.5000
As2 0.3333 0.6667 0.0000
Ru1 0.0000 0.4001 0.5000
```

# 4
CrN2: computed powder XRD pattern (λ = 1.5418 Å (Cu Kα)), based on the PBE geometry in the Materials Project.

Peak list (10 most intense, 2θ from 15° to 90°, sorted by position)
2theta, d_spacing, I (rel.), index
25.97, 3.431, 47, 1 0 0
28.44, 3.138, 48, 1 0 1
34.90, 2.571, 100, 1 0 2
47.37, 1.919, 15, 1 1 1
51.82, 1.764, 23, 1 1 2
53.41, 1.715, 18, 2 0 0
54.30, 1.689, 23, 1 0 4
65.26, 1.430, 17, 2 0 3
67.57, 1.386, 9, 1 1 4
74.14, 1.279, 15, 2 1 1

Atomic structure:
```
data_CrN2
_cell_length_a 3.9614
_cell_length_b 3.9614
_cell_length_c 7.7636
_cell_angle_alpha 90.00
_cell_angle_beta 90.00
_cell_angle_gamma 120.00
_space_group_name_H-M_alt 'P 62 2 2'
_space_group_IT_number 180
_space_group_name_Hall 'P 62 2 (0 0 4)'
loop_
_atom_site_label
_atom_site_fract_x
_atom_site_fract_y
_atom_site_fract_z
Cr1 0.0000 0.5000 0.1667
N1 0.1873 0.5937 0.6667
```

# 5
Tl5BrCl4: computed powder XRD pattern (λ = 1.5418 Å (Cu Kα)), based on the PBE geometry in the Materials Project.

Peak list (10 most intense, 2θ from 15° to 90°, sorted by position)
2theta, d_spacing, I (rel.), index
22.60, 3.935, 46, 1 5 0
32.17, 2.782, 100, 2 0 0
39.68, 2.272, 15, 2 0 1
46.14, 1.967, 18, 0 0 2
51.97, 1.760, 22, 3 5 0
57.36, 1.606, 38, 3 5 1
67.29, 1.391, 10, 4 0 0
72.00, 1.312, 11, 4 0 1
76.57, 1.244, 16, 1 5 3
81.06, 1.186, 6, 2 0 3

Atomic structure:
```
data_Tl5BrCl4
_cell_length_a 5.5671
_cell_length_b 27.7981
_cell_length_c 3.9364
_cell_angle_alpha 90.00
_cell_angle_beta 90.00
_cell_angle_gamma 90.00
_space_group_name_H-M_alt 'C m m m'
_space_group_IT_number 65
_space_group_name_Hall '-C 2 2'
loop_
_atom_site_label
_atom_site_fract_x
_atom_site_fract_y
_atom_site_fract_z
Tl1 0.0000 0.0000 0.0000
Tl2 0.0000 0.2000 0.0000
Tl3 0.0000 0.3981 0.0000
Br1 0.0000 0.5000 0.5000
Cl1 0.0000 0.1004 0.5000
Cl2 0.0000 0.2997 0.5000
```

# 6
Eu3S4: computed powder XRD pattern (λ = 1.5418 Å (Cu Kα)), based on the PBE geometry in the Materials Project.

Peak list (10 most intense, 2θ from 15° to 90°, sorted by position)
2theta, d_spacing, I (rel.), index
25.37, 3.510, 100, 2 1 1
32.94, 2.719, 90, 3 1 0
39.20, 2.298, 55, 3 2 1
47.28, 1.923, 39, 4 2 0
49.74, 1.833, 25, 3 3 2
54.41, 1.686, 31, 4 3 1
67.10, 1.395, 36, 6 1 1
71.05, 1.327, 14, 5 4 1
80.56, 1.192, 8, 6 4 0
82.42, 1.170, 27, 7 2 1

Atomic structure:
```
data_Eu3S4
_cell_length_a 8.5984
_cell_length_b 8.5984
_cell_length_c 8.5984
_cell_angle_alpha 90.00
_cell_angle_beta 90.00
_cell_angle_gamma 90.00
_space_group_name_H-M_alt 'I -4 3 d'
_space_group_IT_number 220
_space_group_name_Hall 'I -4bd 2c 3'
loop_
_atom_site_label
_atom_site_fract_x
_atom_site_fract_y
_atom_site_fract_z
Eu1 0.0000 0.2500 0.8750
S1 0.0727 0.4273 0.5727
```

# 7
NdCuAg: computed powder XRD pattern (λ = 1.5418 Å (Cu Kα)), based on the PBE geometry in the Materials Project.

Peak list (10 most intense, 2θ from 15° to 90°, sorted by position)
2theta, d_spacing, I (rel.), index
32.39, 2.764, 19, 0 0 2
33.14, 2.703, 46, 3 1 -1
33.28, 2.692, 100, 1 1 -2
34.50, 2.600, 38, 3 1 -2
34.85, 2.574, 32, 4 0 -2
39.40, 2.287, 68, 3 1 0
40.05, 2.251, 48, 0 2 0
54.12, 1.695, 18, 4 2 -2
66.57, 1.405, 23, 7 1 -3
68.45, 1.371, 19, 1 3 -2

Atomic structure:
```
data_NdCuAg
_cell_length_a 10.3554
_cell_length_b 4.5023
_cell_length_c 7.1863
_cell_angle_alpha 90.00
_cell_angle_beta 129.71
_cell_angle_gamma 90.00
_space_group_name_H-M_alt 'C 1 2/m 1'
_space_group_IT_number 12
_space_group_name_Hall '-C 2y'
loop_
_atom_site_label
_atom_site_fract_x
_atom_site_fract_y
_atom_site_fract_z
Nd1 0.0474 0.0000 0.2970
Cu1 0.1494 0.5000 0.6869
Ag1 0.1753 0.5000 0.1130
```